This entry pairs a crystal structure of YTm4Te5 with its simulated X-ray diffraction stick pattern. Radiation: λ = 1.5418 Å (Cu Kα). Structure: a GGA-PBE-relaxed structure.
Neutral-atom scattering factors, no anomalous dispersion.

a b c (Å): 7.4724 7.4724 7.4724
angles (deg): 99.61 99.61 131.77
Atoms (fractional coordinates):
Y1 0.0000 0.0000 0.0000
Tm1 0.2108 0.3979 0.6020
Tm2 0.3979 0.7959 0.1871
Tm3 0.6088 0.2108 0.8129
Tm4 0.7959 0.6088 0.3980
Te1 0.0998 0.6959 0.7892
Te2 0.3106 0.0998 0.4039
Te3 0.5002 0.5002 0.0000
Te4 0.6959 0.9067 0.5961
Te5 0.9067 0.3106 0.2108

Most intense lines, 10° ≤ 2θ ≤ 90°, by intensity:
| d [Å] | I (rel.) |
| --- | --- |
| 3.051 | 100 |
| 2.157 | 75 |
| 1.364 | 33 |
| 1.762 | 26 |
| 1.246 | 24 |
| 1.526 | 12 |
| 3.523 | 3 |
| 5.159 | 2 |
| 2.450 | 2 |
| 2.184 | 1 |

=====

This entry pairs a crystal structure of Y3Tm4Te8 with its simulated X-ray diffraction stick pattern. Radiation: λ = 1.5418 Å (Cu Kα). Structure: a GGA-PBE-relaxed structure.
Neutral-atom scattering factors, no anomalous dispersion.

a b c (Å): 8.6326 8.6326 8.6339
angles (deg): 119.98 119.98 90.02
Atoms (fractional coordinates):
Y1 0.0000 0.0000 0.0000
Y2 0.0000 0.5000 0.0000
Y3 0.5000 0.0000 0.0000
Tm1 0.0000 0.0000 0.5000
Tm2 0.0000 0.5000 0.5000
Tm3 0.5000 0.0000 0.5000
Tm4 0.5000 0.5000 0.0000
Te1 0.2518 0.7482 0.0000
Te2 0.2540 0.7460 0.5000
Te3 0.2557 0.2557 0.0079
Te4 0.2559 0.2559 0.5035
Te5 0.7441 0.7441 0.4965
Te6 0.7443 0.7443 0.9921
Te7 0.7460 0.2540 0.5000
Te8 0.7482 0.2518 0.0000

Most intense lines, 10° ≤ 2θ ≤ 90°, by intensity:
| d [Å] | I (rel.) |
| --- | --- |
| 3.053 | 100 |
| 2.159 | 75 |
| 1.365 | 34 |
| 1.762 | 27 |
| 1.246 | 25 |
| 1.526 | 12 |
| 7.050 | 7 |
| 3.682 | 6 |
| 2.801 | 4 |
| 6.103 | 3 |

=====

This entry pairs a crystal structure of Tm6ZnTe5 with its simulated X-ray diffraction stick pattern. Radiation: λ = 1.5418 Å (Cu Kα). Structure: a GGA-PBE-relaxed structure.
Neutral-atom scattering factors, no anomalous dispersion.

a b c (Å): 7.4421 7.4421 7.4102
angles (deg): 99.58 99.58 119.86
Atoms (fractional coordinates):
Tm1 0.0747 0.3790 0.7282
Tm2 0.2216 0.2216 0.2606
Tm3 0.3790 0.0747 0.7282
Tm4 0.6210 0.9253 0.2718
Tm5 0.7784 0.7784 0.7394
Tm6 0.9253 0.6210 0.2718
Zn1 0.0000 0.0000 0.5000
Te1 0.1794 0.8206 0.0000
Te2 0.3365 0.6635 0.5000
Te3 0.5000 0.5000 0.0000
Te4 0.6635 0.3365 0.5000
Te5 0.8206 0.1794 0.0000

Most intense lines, 10° ≤ 2θ ≤ 90°, by intensity:
| d [Å] | I (rel.) |
| --- | --- |
| 3.036 | 100 |
| 2.149 | 47 |
| 2.141 | 24 |
| 1.752 | 12 |
| 1.518 | 10 |
| 1.355 | 10 |
| 1.360 | 9 |
| 1.358 | 9 |
| 1.759 | 6 |
| 1.747 | 6 |

=====

This entry pairs a crystal structure of Tm2ZnTe4 with its simulated X-ray diffraction stick pattern. Radiation: λ = 1.5418 Å (Cu Kα). Structure: a GGA-PBE-relaxed structure.
Neutral-atom scattering factors, no anomalous dispersion.

a b c (Å): 6.6803 6.6803 12.4737
angles (deg): 90.00 90.00 90.00
Atoms (fractional coordinates):
Tm1 0.0000 0.5000 0.2500
Tm2 0.0000 0.5000 0.7500
Tm3 0.5000 0.0000 0.2500
Tm4 0.5000 0.0000 0.7500
Zn1 0.0000 0.0000 0.0000
Zn2 0.5000 0.5000 0.5000
Te1 0.2455 0.2455 0.1113
Te2 0.2455 0.7545 0.8887
Te3 0.2545 0.2545 0.6113
Te4 0.2545 0.7455 0.3887
Te5 0.7455 0.2545 0.3887
Te6 0.7455 0.7455 0.6113
Te7 0.7545 0.2455 0.8887
Te8 0.7545 0.7545 0.1113

Most intense lines, 10° ≤ 2θ ≤ 90°, by intensity:
| d [Å] | I (rel.) |
| --- | --- |
| 3.766 | 100 |
| 2.279 | 49 |
| 2.001 | 35 |
| 2.362 | 29 |
| 1.347 | 18 |
| 2.944 | 16 |
| 4.724 | 15 |
| 1.482 | 14 |
| 1.903 | 13 |
| 1.670 | 10 |

=====

This entry pairs a crystal structure of U2Te3 with its simulated X-ray diffraction stick pattern. Radiation: λ = 1.5418 Å (Cu Kα). Structure: a GGA-PBE-relaxed structure.
Neutral-atom scattering factors, no anomalous dispersion.

a b c (Å): 4.2659 4.2659 8.7335
angles (deg): 90.00 90.00 90.00
Atoms (fractional coordinates):
U1 0.0000 0.5000 0.2327
U2 0.5000 0.0000 0.7673
Te1 0.0000 0.5000 0.8610
Te2 0.5000 0.0000 0.1390
Te3 0.5000 0.5000 0.5000

Most intense lines, 10° ≤ 2θ ≤ 90°, by intensity:
| d [Å] | I (rel.) |
| --- | --- |
| 2.482 | 100 |
| 2.405 | 79 |
| 3.016 | 76 |
| 3.833 | 67 |
| 2.133 | 59 |
| 1.289 | 55 |
| 1.596 | 46 |
| 2.851 | 43 |
| 4.367 | 36 |
| 1.616 | 30 |

=====

This entry pairs a crystal structure of UTe5 with its simulated X-ray diffraction stick pattern. Radiation: λ = 1.5418 Å (Cu Kα). Structure: a GGA-PBE-relaxed structure.
Neutral-atom scattering factors, no anomalous dispersion.

a b c (Å): 18.8727 4.2670 10.2404
angles (deg): 90.00 90.00 90.00
Atoms (fractional coordinates):
U1 0.0899 0.1003 0.0000
U2 0.4101 0.6003 0.5000
U3 0.5899 0.3997 0.0000
U4 0.9101 0.8997 0.5000
Te1 0.0016 0.0381 0.7487
Te2 0.0338 0.3915 0.5086
Te3 0.1572 0.5983 0.1918
Te4 0.1629 0.5982 0.8175
Te5 0.2480 0.8248 0.5087
Te6 0.2520 0.3248 0.0087
Te7 0.3371 0.0982 0.3175
Te8 0.3428 0.0983 0.6918
Te9 0.4662 0.8915 0.0086
Te10 0.4984 0.5381 0.2487
Te11 0.5016 0.4619 0.7487
Te12 0.5338 0.1085 0.5086
Te13 0.6572 0.9017 0.1918
Te14 0.6629 0.9018 0.8175
Te15 0.7480 0.6752 0.5087
Te16 0.7520 0.1752 0.0087
Te17 0.8371 0.4018 0.3175
Te18 0.8428 0.4017 0.6918
Te19 0.9662 0.6085 0.0086
Te20 0.9984 0.9619 0.2487

Most intense lines, 10° ≤ 2θ ≤ 90°, by intensity:
| d [Å] | I (rel.) |
| --- | --- |
| 6.939 | 100 |
| 2.680 | 66 |
| 2.907 | 61 |
| 2.456 | 59 |
| 3.338 | 54 |
| 2.561 | 39 |
| 2.474 | 32 |
| 3.096 | 32 |
| 1.592 | 23 |
| 3.165 | 22 |

=====

This entry pairs a crystal structure of V9Te8 with its simulated X-ray diffraction stick pattern. Radiation: λ = 1.5418 Å (Cu Kα). Structure: a GGA-PBE-relaxed structure.
Neutral-atom scattering factors, no anomalous dispersion.

a b c (Å): 7.1338 7.2353 7.6065
angles (deg): 74.73 74.33 89.82
Atoms (fractional coordinates):
V1 0.0000 0.0000 0.0000
V2 0.0021 0.9872 0.4707
V3 0.0694 0.6984 0.2524
V4 0.0731 0.7024 0.8247
V5 0.1312 0.4220 0.6005
V6 0.1447 0.4034 0.0929
V7 0.2892 0.7735 0.4707
V8 0.3374 0.7851 0.9528
V9 0.8512 0.6276 0.6150
Te1 0.2846 0.0610 0.6483
Te2 0.3022 0.0588 0.1434
Te3 0.4130 0.5183 0.2509
Te4 0.4214 0.5141 0.7502
Te5 0.7224 0.8778 0.3324
Te6 0.7441 0.8976 0.8257
Te7 0.8468 0.3558 0.9460
Te8 0.8547 0.3473 0.4273

Most intense lines, 10° ≤ 2θ ≤ 90°, by intensity:
| d [Å] | I (rel.) |
| --- | --- |
| 2.904 | 100 |
| 2.839 | 67 |
| 2.828 | 66 |
| 2.248 | 50 |
| 3.015 | 48 |
| 1.902 | 46 |
| 2.056 | 45 |
| 2.050 | 44 |
| 3.425 | 43 |
| 2.124 | 38 |

=====

This entry pairs a crystal structure of VTe4W with its simulated X-ray diffraction stick pattern. Radiation: λ = 1.5418 Å (Cu Kα). Structure: a GGA-PBE-relaxed structure.
Neutral-atom scattering factors, no anomalous dispersion.

a b c (Å): 3.3412 6.4101 8.0286
angles (deg): 77.00 78.08 90.00
Atoms (fractional coordinates):
V1 0.0000 0.0000 0.0000
Te1 0.0924 0.4399 0.8141
Te2 0.3987 0.1929 0.2042
Te3 0.6298 0.9701 0.7382
Te4 0.8586 0.6741 0.2853
W1 0.4895 0.6366 0.0214

Most intense lines, 10° ≤ 2θ ≤ 90°, by intensity:
| d [Å] | I (rel.) |
| --- | --- |
| 2.680 | 100 |
| 7.645 | 75 |
| 2.015 | 24 |
| 3.153 | 15 |
| 1.794 | 14 |
| 2.836 | 14 |
| 2.242 | 12 |
| 1.671 | 12 |
| 2.247 | 10 |
| 6.238 | 10 |

=====

What did the third record say?
This entry pairs a crystal structure of Tm6ZnTe5 with its simulated X-ray diffraction stick pattern. Radiation: λ = 1.5418 Å (Cu Kα). Structure: a GGA-PBE-relaxed structure.
Neutral-atom scattering factors, no anomalous dispersion.

a b c (Å): 7.4421 7.4421 7.4102
angles (deg): 99.58 99.58 119.86
Atoms (fractional coordinates):
Tm1 0.0747 0.3790 0.7282
Tm2 0.2216 0.2216 0.2606
Tm3 0.3790 0.0747 0.7282
Tm4 0.6210 0.9253 0.2718
Tm5 0.7784 0.7784 0.7394
Tm6 0.9253 0.6210 0.2718
Zn1 0.0000 0.0000 0.5000
Te1 0.1794 0.8206 0.0000
Te2 0.3365 0.6635 0.5000
Te3 0.5000 0.5000 0.0000
Te4 0.6635 0.3365 0.5000
Te5 0.8206 0.1794 0.0000

Most intense lines, 10° ≤ 2θ ≤ 90°, by intensity:
| d [Å] | I (rel.) |
| --- | --- |
| 3.036 | 100 |
| 2.149 | 47 |
| 2.141 | 24 |
| 1.752 | 12 |
| 1.518 | 10 |
| 1.355 | 10 |
| 1.360 | 9 |
| 1.358 | 9 |
| 1.759 | 6 |
| 1.747 | 6 |

=====

What did the fifth record say?
This entry pairs a crystal structure of U2Te3 with its simulated X-ray diffraction stick pattern. Radiation: λ = 1.5418 Å (Cu Kα). Structure: a GGA-PBE-relaxed structure.
Neutral-atom scattering factors, no anomalous dispersion.

a b c (Å): 4.2659 4.2659 8.7335
angles (deg): 90.00 90.00 90.00
Atoms (fractional coordinates):
U1 0.0000 0.5000 0.2327
U2 0.5000 0.0000 0.7673
Te1 0.0000 0.5000 0.8610
Te2 0.5000 0.0000 0.1390
Te3 0.5000 0.5000 0.5000

Most intense lines, 10° ≤ 2θ ≤ 90°, by intensity:
| d [Å] | I (rel.) |
| --- | --- |
| 2.482 | 100 |
| 2.405 | 79 |
| 3.016 | 76 |
| 3.833 | 67 |
| 2.133 | 59 |
| 1.289 | 55 |
| 1.596 | 46 |
| 2.851 | 43 |
| 4.367 | 36 |
| 1.616 | 30 |